# 1
This entry pairs a crystal structure of RbTiPdCl6 with its computed XRD peak list. Radiation: a wavelength of 1.5418 Å. Structure: the GGA-PBE geometry in Alexandria.
Lines closer than 0.1° are merged.

Unit cell a=6.5264 b=6.5311 c=6.9868 alpha=93.86 beta=93.99 gamma=112.09
Positions (direct):
Rb1 0.0000 0.0000 0.0000
Ti1 0.6189 0.3803 0.4995
Pd1 0.2728 0.7271 0.4999
Cl1 0.3246 0.4369 0.2947
Cl2 0.3292 0.0989 0.6434
Cl3 0.5631 0.6737 0.7051
Cl4 0.6212 0.1229 0.2623
Cl5 0.8775 0.3764 0.7355
Cl6 0.9002 0.6705 0.3561

Top 12 peaks for 2θ = 15–90°, low angle first:
4.793 Å, I 98; 4.332 Å, I 71; 4.268 Å, I 82; 3.619 Å, I 28; 3.383 Å, I 29; 3.146 Å, I 41; 2.869 Å, I 100; 2.672 Å, I 43; 2.316 Å, I 27; 2.302 Å, I 74; 2.006 Å, I 46; 1.930 Å, I 27



# 2
This entry pairs a crystal structure of Rb2PdWCl6 with its computed XRD peak list. Radiation: a wavelength of 1.5418 Å. Structure: the GGA-PBE geometry in Alexandria.
Lines closer than 0.1° are merged.

Unit cell a=7.2161 b=7.2161 c=7.2161 alpha=113.39 beta=113.39 gamma=101.88
Positions (direct):
Rb1 0.2500 0.7500 0.5000
Rb2 0.7500 0.2500 0.5000
Pd1 0.0000 0.0000 0.0000
W1 0.5000 0.5000 0.0000
Cl1 0.2461 0.2461 0.0000
Cl2 0.2817 0.2817 0.5634
Cl3 0.2817 0.7183 0.0000
Cl4 0.7183 0.2817 0.0000
Cl5 0.7183 0.7183 0.4366
Cl6 0.7539 0.7539 0.0000

Top 12 peaks for 2θ = 15–90°, low angle first:
5.603 Å, I 38; 3.962 Å, I 68; 3.531 Å, I 100; 2.802 Å, I 76; 2.273 Å, I 22; 2.195 Å, I 50; 1.981 Å, I 25; 1.972 Å, I 21; 1.772 Å, I 19; 1.765 Å, I 36; 1.494 Å, I 19; 1.471 Å, I 17



# 3
This entry pairs a crystal structure of PdSCl3 with its computed XRD peak list. Radiation: a wavelength of 1.5418 Å. Structure: the GGA-PBE geometry in Alexandria.
Lines closer than 0.1° are merged.

Unit cell a=7.7484 b=7.7484 c=12.2444 alpha=90.70 beta=90.70 gamma=126.65
Positions (direct):
Pd1 0.0080 0.8570 0.6146
Pd2 0.1430 0.9920 0.8854
Pd3 0.8570 0.0080 0.1146
Pd4 0.9920 0.1430 0.3854
S1 0.2144 0.7409 0.8258
S2 0.2591 0.7856 0.6742
S3 0.7409 0.2144 0.3258
S4 0.7856 0.2591 0.1742
Cl1 0.0089 0.7989 0.0466
Cl2 0.1885 0.2551 0.2204
Cl3 0.2011 0.9911 0.4534
Cl4 0.2357 0.4734 0.4668
Cl5 0.2551 0.1885 0.7204
Cl6 0.4734 0.2357 0.9668
Cl7 0.5266 0.7643 0.0332
Cl8 0.7449 0.8115 0.2796
Cl9 0.7643 0.5266 0.5332
Cl10 0.7989 0.0089 0.5466
Cl11 0.8115 0.7449 0.7796
Cl12 0.9911 0.2011 0.9534

Top 12 peaks for 2θ = 15–90°, low angle first:
5.597 Å, I 100; 4.308 Å, I 28; 3.685 Å, I 26; 3.331 Å, I 35; 3.013 Å, I 45; 2.990 Å, I 26; 2.773 Å, I 83; 2.744 Å, I 37; 2.444 Å, I 35; 2.308 Å, I 25; 2.123 Å, I 35; 1.829 Å, I 25



# 4
This entry pairs a crystal structure of Pd2SCl3 with its computed XRD peak list. Radiation: a wavelength of 1.5418 Å. Structure: the GGA-PBE geometry in Alexandria.
Lines closer than 0.1° are merged.

Unit cell a=7.3074 b=7.3074 c=6.0600 alpha=90.00 beta=90.00 gamma=120.00
Positions (direct):
Pd1 0.0000 0.0000 0.0000
Pd2 0.0000 0.5000 0.0000
Pd3 0.5000 0.0000 0.0000
Pd4 0.5000 0.5000 0.0000
S1 0.3333 0.6667 0.1796
S2 0.6667 0.3333 0.8204
Cl1 0.1634 0.3267 0.7627
Cl2 0.1634 0.8366 0.7627
Cl3 0.3267 0.1634 0.2373
Cl4 0.6733 0.8366 0.7627
Cl5 0.8366 0.1634 0.2373
Cl6 0.8366 0.6733 0.2373

Top 12 peaks for 2θ = 15–90°, low angle first:
3.164 Å, I 26; 2.805 Å, I 100; 2.188 Å, I 68; 1.827 Å, I 30; 1.749 Å, I 24; 1.703 Å, I 26; 1.531 Å, I 15; 1.402 Å, I 15; 1.246 Å, I 9; 1.173 Å, I 12; 1.166 Å, I 10; 1.112 Å, I 15



# 5
This entry pairs a crystal structure of PdSeCl with its computed XRD peak list. Radiation: a wavelength of 1.5418 Å. Structure: the GGA-PBE geometry in Alexandria.
Lines closer than 0.1° are merged.

Unit cell a=7.6492 b=7.6492 c=3.4798 alpha=90.26 beta=90.26 gamma=55.17
Positions (direct):
Pd1 0.1159 0.1159 0.0024
Pd2 0.8841 0.8841 0.9976
Se1 0.1374 0.6766 0.4981
Se2 0.3234 0.8626 0.5019
Cl1 0.6247 0.0751 0.4968
Cl2 0.9249 0.3753 0.5032

Top 12 peaks for 2θ = 15–90°, low angle first:
3.810 Å, I 35; 3.390 Å, I 89; 3.044 Å, I 50; 2.533 Å, I 37; 2.482 Å, I 100; 2.052 Å, I 16; 2.043 Å, I 15; 2.006 Å, I 37; 1.999 Å, I 38; 1.934 Å, I 29; 1.771 Å, I 16; 1.740 Å, I 17



# 6
This entry pairs a crystal structure of PdSe8Cl2 with its computed XRD peak list. Radiation: a wavelength of 1.5418 Å. Structure: the GGA-PBE geometry in Alexandria.
Lines closer than 0.1° are merged.

Unit cell a=9.2362 b=14.3610 c=10.4034 alpha=90.00 beta=90.00 gamma=90.00
Positions (direct):
Pd1 0.0000 0.0000 0.0000
Pd2 0.0000 0.5000 0.5000
Pd3 0.5000 0.0000 0.5000
Pd4 0.5000 0.5000 0.0000
Se1 0.0752 0.1169 0.3780
Se2 0.0752 0.3831 0.8780
Se3 0.0900 0.2150 0.1998
Se4 0.0900 0.2850 0.6998
Se5 0.1318 0.5219 0.1558
Se6 0.1318 0.9781 0.6558
Se7 0.1956 0.1120 0.0363
Se8 0.1956 0.3880 0.5363
Se9 0.3044 0.6120 0.0363
Se10 0.3044 0.8880 0.5363
Se11 0.3682 0.0219 0.1558
Se12 0.3682 0.4781 0.6558
Se13 0.4100 0.7150 0.1998
Se14 0.4100 0.7850 0.6998
Se15 0.4248 0.6169 0.3780
Se16 0.4248 0.8831 0.8780
Se17 0.5752 0.1169 0.1220
Se18 0.5752 0.3831 0.6220
Se19 0.5900 0.2150 0.3002
Se20 0.5900 0.2850 0.8002
Se21 0.6318 0.5219 0.3442
Se22 0.6318 0.9781 0.8442
Se23 0.6956 0.1120 0.4637
Se24 0.6956 0.3880 0.9637
Se25 0.8044 0.6120 0.4637
Se26 0.8044 0.8880 0.9637
Se27 0.8682 0.0219 0.3442
Se28 0.8682 0.4781 0.8442
Se29 0.9100 0.7150 0.3002
Se30 0.9100 0.7850 0.8002
Se31 0.9248 0.6169 0.1220
Se32 0.9248 0.8831 0.6220
Cl1 0.0821 0.6034 0.6575
Cl2 0.0821 0.8966 0.1575
Cl3 0.4179 0.1034 0.6575
Cl4 0.4179 0.3966 0.1575
Cl5 0.5821 0.6034 0.8425
Cl6 0.5821 0.8966 0.3425
Cl7 0.9179 0.1034 0.8425
Cl8 0.9179 0.3966 0.3425

Top 12 peaks for 2θ = 15–90°, low angle first:
4.978 Å, I 22; 4.532 Å, I 31; 4.396 Å, I 43; 4.213 Å, I 24; 3.291 Å, I 50; 3.166 Å, I 100; 3.117 Å, I 24; 2.801 Å, I 25; 2.731 Å, I 20; 2.687 Å, I 21; 2.513 Å, I 24; 2.059 Å, I 18



# 7
This entry pairs a crystal structure of Pd5Se8Cl with its computed XRD peak list. Radiation: a wavelength of 1.5418 Å. Structure: the GGA-PBE geometry in Alexandria.
Lines closer than 0.1° are merged.

Unit cell a=9.7112 b=9.7112 c=7.9392 alpha=99.21 beta=99.21 gamma=23.33
Positions (direct):
Pd1 0.0000 0.0000 0.0000
Pd2 0.0396 0.0396 0.3795
Pd3 0.3509 0.3509 0.2878
Pd4 0.3911 0.3911 0.6680
Pd5 0.6955 0.6955 0.3349
Se1 0.1317 0.1317 0.1730
Se2 0.2594 0.2594 0.4966
Se3 0.4736 0.4736 0.1943
Se4 0.5217 0.5217 0.8033
Se5 0.5969 0.5969 0.5576
Se6 0.7936 0.7936 0.1099
Se7 0.8692 0.8692 0.8651
Se8 0.9173 0.9173 0.4726
Cl1 0.1954 0.1954 0.8251

Top 12 peaks for 2θ = 15–90°, low angle first:
3.083 Å, I 24; 2.970 Å, I 100; 2.790 Å, I 45; 2.754 Å, I 34; 2.698 Å, I 33; 2.665 Å, I 64; 2.433 Å, I 40; 2.146 Å, I 81; 2.116 Å, I 35; 1.972 Å, I 36; 1.963 Å, I 63; 1.853 Å, I 81



# 8
This entry pairs a crystal structure of PdSe2Cl with its computed XRD peak list. Radiation: a wavelength of 1.5418 Å. Structure: the GGA-PBE geometry in Alexandria.
Lines closer than 0.1° are merged.

Unit cell a=5.3375 b=3.7348 c=10.3981 alpha=90.00 beta=102.24 gamma=90.00
Positions (direct):
Pd1 0.2036 0.2500 0.3921
Pd2 0.7964 0.7500 0.6079
Se1 0.1711 0.7500 0.2295
Se2 0.2727 0.7500 0.5600
Se3 0.7273 0.2500 0.4400
Se4 0.8289 0.2500 0.7705
Cl1 0.2305 0.2500 0.8827
Cl2 0.7695 0.7500 0.1173

Top 12 peaks for 2θ = 15–90°, low angle first:
5.100 Å, I 22; 4.100 Å, I 25; 3.009 Å, I 100; 2.666 Å, I 35; 2.608 Å, I 42; 2.509 Å, I 57; 2.079 Å, I 31; 1.969 Å, I 24; 1.867 Å, I 23; 1.859 Å, I 39; 1.839 Å, I 22; 1.519 Å, I 24



# 9
This entry pairs a crystal structure of PdSe2Cl2 with its computed XRD peak list. Radiation: a wavelength of 1.5418 Å. Structure: the GGA-PBE geometry in Alexandria.
Lines closer than 0.1° are merged.

Unit cell a=3.8407 b=4.6336 c=7.6149 alpha=78.70 beta=75.52 gamma=90.00
Positions (direct):
Pd1 0.0000 0.0000 0.0000
Se1 0.4425 0.2809 0.1158
Se2 0.5575 0.7191 0.8842
Cl1 0.1488 0.2820 0.6986
Cl2 0.8512 0.7180 0.3014

Top 12 peaks for 2θ = 15–90°, low angle first:
3.533 Å, I 19; 2.949 Å, I 89; 2.663 Å, I 100; 2.582 Å, I 51; 2.308 Å, I 17; 2.207 Å, I 22; 1.968 Å, I 18; 1.920 Å, I 24; 1.893 Å, I 26; 1.856 Å, I 16; 1.817 Å, I 33; 1.709 Å, I 26



# 10
This entry pairs a crystal structure of Sn2Pd2Cl with its computed XRD peak list. Radiation: a wavelength of 1.5418 Å. Structure: the GGA-PBE geometry in Alexandria.
Lines closer than 0.1° are merged.

Unit cell a=7.8181 b=7.8181 c=3.3357 alpha=90.00 beta=90.00 gamma=90.00
Positions (direct):
Sn1 0.1610 0.3390 0.0000
Sn2 0.3390 0.8390 0.0000
Sn3 0.6610 0.1610 0.0000
Sn4 0.8390 0.6610 0.0000
Pd1 0.1306 0.6306 0.5000
Pd2 0.3694 0.1306 0.5000
Pd3 0.6306 0.8694 0.5000
Pd4 0.8694 0.3694 0.5000
Cl1 0.0000 0.0000 0.5000
Cl2 0.5000 0.5000 0.5000

Top 12 peaks for 2θ = 15–90°, low angle first:
5.528 Å, I 29; 2.537 Å, I 8; 2.472 Å, I 35; 2.414 Å, I 100; 1.955 Å, I 12; 1.843 Å, I 11; 1.818 Å, I 9; 1.668 Å, I 8; 1.648 Å, I 9; 1.382 Å, I 15; 1.331 Å, I 19; 1.237 Å, I 6



# 11
This entry pairs a crystal structure of SrPd3Cl9 with its computed XRD peak list. Radiation: a wavelength of 1.5418 Å. Structure: the GGA-PBE geometry in Alexandria.
Lines closer than 0.1° are merged.

Unit cell a=8.6354 b=8.6354 c=11.9952 alpha=90.00 beta=90.00 gamma=104.62
Positions (direct):
Sr1 0.0735 0.0735 0.0000
Sr2 0.9265 0.9265 0.5000
Pd1 0.3035 0.3035 0.5000
Pd2 0.3475 0.4000 0.8465
Pd3 0.4000 0.3475 0.1535
Pd4 0.6000 0.6525 0.6535
Pd5 0.6525 0.6000 0.3465
Pd6 0.6965 0.6965 0.0000
Cl1 0.0403 0.2620 0.5575
Cl2 0.1002 0.3972 0.9209
Cl3 0.1363 0.2521 0.2105
Cl4 0.2521 0.1363 0.7895
Cl5 0.2620 0.0403 0.4425
Cl6 0.3430 0.5578 0.5791
Cl7 0.3972 0.1002 0.0791
Cl8 0.4138 0.5862 0.2500
Cl9 0.4422 0.6570 0.9209
Cl10 0.5578 0.3430 0.4209
Cl11 0.5862 0.4138 0.7500
Cl12 0.6028 0.8998 0.5791
Cl13 0.6570 0.4422 0.0791
Cl14 0.7380 0.9597 0.9425
Cl15 0.7479 0.8637 0.2895
Cl16 0.8637 0.7479 0.7105
Cl17 0.8998 0.6028 0.4209
Cl18 0.9597 0.7380 0.0575

Top 12 peaks for 2θ = 15–90°, low angle first:
4.872 Å, I 29; 3.607 Å, I 97; 3.451 Å, I 49; 3.187 Å, I 37; 2.889 Å, I 100; 2.786 Å, I 28; 2.713 Å, I 63; 2.331 Å, I 41; 2.125 Å, I 36; 1.973 Å, I 24; 1.852 Å, I 28; 1.725 Å, I 37



# 12
This entry pairs a crystal structure of SrPdCl with its computed XRD peak list. Radiation: a wavelength of 1.5418 Å. Structure: the GGA-PBE geometry in Alexandria.
Lines closer than 0.1° are merged.

Unit cell a=11.3437 b=3.7671 c=3.7671 alpha=90.05 beta=90.00 gamma=90.00
Positions (direct):
Sr1 0.1697 0.0000 0.0000
Sr2 0.8303 0.0000 0.0000
Pd1 0.0000 0.5005 0.5005
Pd2 0.5000 0.4987 0.4987
Cl1 0.2944 0.4997 0.4997
Cl2 0.7056 0.4997 0.4997

Top 12 peaks for 2θ = 15–90°, low angle first:
3.772 Å, I 16; 3.575 Å, I 15; 3.138 Å, I 60; 2.665 Å, I 100; 2.266 Å, I 41; 1.943 Å, I 14; 1.884 Å, I 23; 1.615 Å, I 17; 1.542 Å, I 18; 1.539 Å, I 11; 1.448 Å, I 19; 1.191 Å, I 13